Calculated X-ray diffraction stick pattern of Ba4PdPt for CuKα, from a DFT-relaxed cell (GGA-PBE, Alexandria).

Peak list (6 most intense, 10 to 90 degrees two-theta, low angle first)
d_spacing, two_theta, intensity
5.260, 16.9, 35
3.263, 27.3, 100
3.220, 27.7, 50
2.292, 39.3, 75
1.891, 48.1, 22
1.444, 64.5, 24

Cell lengths 10.2447, 10.2447, 7.9553 Å; angles 105.53, 105.53, 125.74 degrees
Sites, in units of the cell vectors:
Ba 0.0634 0.4308 0.7497
Ba 0.1929 0.2977 0.2454
Ba 0.2977 0.1929 0.7454
Ba 0.4308 0.0634 0.2497
Ba 0.5692 0.9366 0.7503
Ba 0.7023 0.8071 0.2546
Ba 0.8071 0.7023 0.7546
Ba 0.9366 0.5692 0.2503
Pd 0.4284 0.5716 0.7500
Pd 0.5716 0.4284 0.2500
Pt 0.0710 0.9290 0.2500
Pt 0.9290 0.0710 0.7500